Record 1
Li3LaPd4: computed PXRD pattern (a wavelength of 1.5418 Å), based on a DFT-relaxed cell (GGA-PBE, Alexandria).

Peak list (12 most intense, 10 to 90 degrees two-theta, low angle first)
2theta	d/Å	intensity	(hkl)
19.4	4.577	31	1 1 0
27.6	3.237	31	2 0 0
33.9	2.643	15	2 1 1
39.4	2.289	100	2 2 0
44.2	2.047	7	3 1 0
48.7	1.869	8	2 2 2
52.9	1.730	9	3 2 1
56.9	1.618	17	4 0 0
64.4	1.448	10	4 2 0
71.4	1.321	34	4 2 2
74.8	1.270	5	5 1 0
84.7	1.144	11	4 4 0

```
data_Li3LaPd4
_symmetry_space_group_name_H-M 'I m -3 m'
_symmetry_Int_Tables_number 229
_symmetry_space_group_name_Hall '-I 4 2 3'
_cell_length_a 6.4734
_cell_length_b 6.4734
_cell_length_c 6.4734
_cell_angle_alpha 90.00
_cell_angle_beta 90.00
_cell_angle_gamma 90.00
loop_
_atom_site_label
_atom_site_fract_x
_atom_site_fract_y
_atom_site_fract_z
Li1 0.0000 0.0000 0.5000
La1 0.0000 0.0000 0.0000
Pd1 0.2500 0.2500 0.2500
```

---

Record 2
Li7La3Pd4: computed PXRD pattern (a wavelength of 1.5418 Å), based on a DFT-relaxed cell (GGA-PBE, Alexandria).

Peak list (12 most intense, 10 to 90 degrees two-theta, low angle first)
2theta	d/Å	intensity	(hkl)
10.4	8.509	54	0 0 1
17.0	5.219	45	2 0 -2
20.9	4.255	82	0 0 2
21.4	4.150	35	2 0 1
27.1	3.296	49	4 0 -3
29.6	3.020	69	3 1 0
31.0	2.882	33	2 0 2
33.5	2.677	100	3 1 -3
35.2	2.552	82	5 1 -2
35.3	2.542	42	3 1 1
40.9	2.208	55	3 1 -4
43.3	2.092	42	0 2 0

```
data_Li7La3Pd4
_symmetry_space_group_name_H-M 'C 1 2/m 1'
_symmetry_Int_Tables_number 12
_cell_length_a 16.1202
_cell_length_b 4.1829
_cell_length_c 10.4733
_cell_angle_alpha 90.00
_cell_angle_beta 125.66
_cell_angle_gamma 90.00
loop_
_symmetry_equiv_pos_as_xyz
'x,y,z'
'-x,-y,-z'
'-x,y,-z'
'x,-y,z'
'x+1/2,y+1/2,z'
'-x+1/2,-y+1/2,-z'
'-x+1/2,y+1/2,-z'
'x+1/2,-y+1/2,z'
loop_
_atom_site_label
_atom_site_fract_x
_atom_site_fract_y
_atom_site_fract_z
Li1 0.0000 0.0000 0.0000
Li2 0.0200 0.5000 0.8020
Li3 0.1670 0.0000 0.9277
Li4 0.1754 0.5000 0.5005
La1 0.0000 0.0000 0.5000
La2 0.2009 0.5000 0.2283
Pd1 0.1046 0.0000 0.3134
Pd2 0.1596 0.5000 0.7463
```

---

Record 3
LiLaSi2Pd2: computed PXRD pattern (a wavelength of 1.5418 Å), based on a DFT-relaxed cell (GGA-PBE, Alexandria).

Peak list (12 most intense, 10 to 90 degrees two-theta, low angle first)
2theta	d/Å	intensity	(hkl)
27.5	3.241	100	1 0 1
35.5	2.526	60	0 1 2
38.7	2.326	16	0 0 3
42.8	2.113	50	1 1 0
46.2	1.963	8	1 0 3
51.6	1.770	17	0 2 1
56.8	1.621	15	2 0 2
58.6	1.575	12	1 0 4
59.1	1.564	28	1 1 3
69.2	1.357	14	2 1 1
73.7	1.286	14	1 2 2
78.4	1.220	8	3 0 0

```
data_LiLaSi2Pd2
_symmetry_space_group_name_H-M 'P -3 m 1'
_symmetry_Int_Tables_number 164
_symmetry_space_group_name_Hall '-P 3 2"'
_cell_length_a 4.2261
_cell_length_b 4.2261
_cell_length_c 6.9794
_cell_angle_alpha 90.00
_cell_angle_beta 90.00
_cell_angle_gamma 120.00
loop_
_atom_site_label
_atom_site_fract_x
_atom_site_fract_y
_atom_site_fract_z
Li1 0.0000 0.0000 0.0000
La1 0.0000 0.0000 0.5000
Si1 0.3333 0.6667 0.7851
Pd1 0.3333 0.6667 0.1390
```

---

Record 4
LiLa2SnPd6: computed PXRD pattern (a wavelength of 1.5418 Å), based on a DFT-relaxed cell (GGA-PBE, Alexandria).

Peak list (12 most intense, 10 to 90 degrees two-theta, low angle first)
2theta	d/Å	intensity	(hkl)
28.1	3.172	38	3 1 -1
29.1	3.070	37	1 1 -2
29.8	2.994	31	3 1 -2
33.7	2.659	30	3 1 0
35.3	2.539	100	2 0 -3
37.6	2.395	84	2 2 0
39.3	2.290	75	2 2 -2
39.9	2.260	51	4 0 0
40.2	2.245	55	1 1 2
41.9	2.157	47	5 1 -2
46.4	1.958	23	4 0 -4
70.9	1.329	27	6 2 0

```
data_LiLa2SnPd6
_symmetry_space_group_name_H-M 'C 1 2/m 1'
_symmetry_Int_Tables_number 12
_cell_length_a 11.6813
_cell_length_b 5.6475
_cell_length_c 7.8396
_cell_angle_alpha 90.00
_cell_angle_beta 129.29
_cell_angle_gamma 90.00
loop_
_symmetry_equiv_pos_as_xyz
'x,y,z'
'-x,-y,-z'
'-x,y,-z'
'x,-y,z'
'x+1/2,y+1/2,z'
'-x+1/2,-y+1/2,-z'
'-x+1/2,y+1/2,-z'
'x+1/2,-y+1/2,z'
loop_
_atom_site_label
_atom_site_fract_x
_atom_site_fract_y
_atom_site_fract_z
Li1 0.0000 0.0000 0.0000
La1 0.0015 0.5000 0.2448
Sn1 0.0000 0.0000 0.5000
Pd1 0.1851 0.0000 0.9427
Pd2 0.2473 0.2439 0.3031
```